Entry 1:
Theoretical powder X-ray diffraction pattern
Compound: ScAg2B
Radiation: Cu Kα (weighted mean of Kα1 and Kα2)
Structure: a cell relaxed with GGA-PBE

Cell and atoms:
```
data_ScAg2B
_chemical_formula_sum 'Sc4 Ag8 B4'
_cell_length_a 6.320
_cell_length_b 6.320
_cell_length_c 6.320
_cell_angle_alpha 90.00
_cell_angle_beta 90.00
_cell_angle_gamma 90.00
_symmetry_space_group_name_H-M 'F -4 3 m'
_symmetry_Int_Tables_number 216
_symmetry_space_group_name_Hall 'F -4 2 3'
loop_
_atom_site_label
_atom_site_type_symbol
_atom_site_fract_x
_atom_site_fract_y
_atom_site_fract_z
Sc1 Sc 0.000 0.000 0.000
Ag1 Ag 0.000 0.000 0.500
Ag2 Ag 0.250 0.250 0.250
B1 B 0.250 0.250 0.750
```

Main lines, by intensity (10 to 90 degrees two-theta):
Position (°2θ)	d_spacing	intensity
40.37	2.234	100
24.39	3.649	51
73.39	1.290	31
47.73	1.906	25
58.41	1.580	16
87.27	1.117	10
64.24	1.450	10
78.67	1.216	7
28.24	3.160	2
66.12	1.413	1

Entry 2:
Theoretical powder X-ray diffraction pattern
Compound: TaAg2B
Radiation: Cu Kα (weighted mean of Kα1 and Kα2)
Structure: a cell relaxed with GGA-PBE

Cell and atoms:
```
data_TaAg2B
_chemical_formula_sum 'Ta4 Ag8 B4'
_cell_length_a 6.218
_cell_length_b 6.218
_cell_length_c 6.218
_cell_angle_alpha 90.00
_cell_angle_beta 90.00
_cell_angle_gamma 90.00
_symmetry_space_group_name_H-M 'F -4 3 m'
_symmetry_Int_Tables_number 216
_symmetry_space_group_name_Hall 'F -4 2 3'
loop_
_atom_site_label
_atom_site_type_symbol
_atom_site_fract_x
_atom_site_fract_y
_atom_site_fract_z
Ta1 Ta 0.000 0.000 0.000
Ag1 Ag 0.000 0.000 0.500
Ag2 Ag 0.250 0.250 0.250
B1 B 0.250 0.250 0.750
```

Main lines, by intensity (10 to 90 degrees two-theta):
Position (°2θ)	d_spacing	intensity
41.06	2.198	100
74.81	1.269	33
24.80	3.590	22
28.72	3.109	22
59.46	1.554	16
48.56	1.875	11
89.08	1.099	11
67.35	1.390	8
50.87	1.795	6
65.43	1.426	5

Entry 3:
Theoretical powder X-ray diffraction pattern
Compound: Ba7Ag3
Radiation: Cu Kα (weighted mean of Kα1 and Kα2)
Structure: a cell relaxed with GGA-PBE

Cell and atoms:
```
data_Ba7Ag3
_chemical_formula_sum 'Ba14 Ag6'
_cell_length_a 11.8561
_cell_length_b 11.8561
_cell_length_c 7.5897
_cell_angle_alpha 90.00
_cell_angle_beta 90.00
_cell_angle_gamma 120.00
_symmetry_space_group_name_H-M 'P 63 m c'
_symmetry_Int_Tables_number 186
_symmetry_space_group_name_Hall 'P 6c -2c'
loop_
_atom_site_label
_atom_site_type_symbol
_atom_site_fract_x
_atom_site_fract_y
_atom_site_fract_z
Ba1 Ba 0.0838 0.5419 0.0000
Ba2 Ba 0.1221 0.2442 0.6963
Ba3 Ba 0.3333 0.6667 0.4884
Ag1 Ag 0.1897 0.3794 0.2720
```

Main lines, by intensity (10 to 90 degrees two-theta):
Position (°2θ)	d_spacing	intensity
25.78	3.455	100
28.61	3.120	67
29.27	3.052	49
25.02	3.560	47
30.15	2.964	39
44.54	2.034	26
45.93	1.976	22
45.31	2.001	22
45.77	1.982	22
26.03	3.423	21

Entry 4:
Theoretical powder X-ray diffraction pattern
Compound: BaAgBi2
Radiation: Cu Kα (weighted mean of Kα1 and Kα2)
Structure: a cell relaxed with GGA-PBE

Cell and atoms:
```
data_BaAgBi2
_chemical_formula_sum 'Ba4 Ag4 Bi8'
_cell_length_a 7.976
_cell_length_b 7.976
_cell_length_c 7.976
_cell_angle_alpha 90.00
_cell_angle_beta 90.00
_cell_angle_gamma 90.00
_symmetry_space_group_name_H-M 'F -4 3 m'
_symmetry_Int_Tables_number 216
_symmetry_space_group_name_Hall 'F -4 2 3'
loop_
_atom_site_label
_atom_site_type_symbol
_atom_site_fract_x
_atom_site_fract_y
_atom_site_fract_z
Ba1 Ba 0.000 0.000 0.000
Ag1 Ag 0.250 0.250 0.250
Bi1 Bi 0.000 0.000 0.500
Bi2 Bi 0.250 0.250 0.750
```

Main lines, by intensity (10 to 90 degrees two-theta):
Position (°2θ)	d_spacing	intensity
31.73	2.820	100
56.53	1.628	39
45.49	1.994	19
75.37	1.261	17
66.29	1.410	12
19.28	4.605	7
37.40	2.405	4
84.08	1.151	4
49.84	1.830	2
69.76	1.348	2

Entry 5:
Theoretical powder X-ray diffraction pattern
Compound: BaAg2Bi4
Radiation: Cu Kα (weighted mean of Kα1 and Kα2)
Structure: a cell relaxed with GGA-PBE

Cell and atoms:
```
data_BaAg2Bi4
_chemical_formula_sum 'Ba8 Ag16 Bi32'
_cell_length_a 7.374
_cell_length_b 9.629
_cell_length_c 25.257
_cell_angle_alpha 90.00
_cell_angle_beta 90.00
_cell_angle_gamma 90.00
_symmetry_space_group_name_H-M 'F d d d'
_symmetry_Int_Tables_number 70
loop_
_symmetry_equiv_pos_as_xyz
'x,y,z'
'-x,-y,-z'
'-x+1/4,-y+1/4,z'
'x+1/4,y+1/4,-z'
'x,-y+1/4,-z+1/4'
'-x,y+1/4,z+1/4'
'-x+1/4,y,-z+1/4'
'x+1/4,-y,z+1/4'
'x,y+1/2,z+1/2'
'-x,-y+1/2,-z+1/2'
'-x+1/4,-y+3/4,z+1/2'
'x+1/4,y+3/4,-z+1/2'
'x,-y+3/4,-z+3/4'
'-x,y+3/4,z+3/4'
'-x+1/4,y+1/2,-z+3/4'
'x+1/4,-y+1/2,z+3/4'
'x+1/2,y,z+1/2'
'-x+1/2,-y,-z+1/2'
'-x+3/4,-y+1/4,z+1/2'
'x+3/4,y+1/4,-z+1/2'
'x+1/2,-y+1/4,-z+3/4'
'-x+1/2,y+1/4,z+3/4'
'-x+3/4,y,-z+3/4'
'x+3/4,-y,z+3/4'
'x+1/2,y+1/2,z'
'-x+1/2,-y+1/2,-z'
'-x+3/4,-y+3/4,z'
'x+3/4,y+3/4,-z'
'x+1/2,-y+3/4,-z+1/4'
'-x+1/2,y+3/4,z+1/4'
'-x+3/4,y+1/2,-z+1/4'
'x+3/4,-y+1/2,z+1/4'
loop_
_atom_site_label
_atom_site_type_symbol
_atom_site_fract_x
_atom_site_fract_y
_atom_site_fract_z
Ba1 Ba 0.125 0.125 0.125
Ag1 Ag 0.125 0.125 0.264
Bi1 Bi 0.055 0.280 0.685
```

Main lines, by intensity (10 to 90 degrees two-theta):
Position (°2θ)	d_spacing	intensity
30.58	2.923	100
29.07	3.072	85
25.16	3.539	37
47.51	1.914	31
31.37	2.852	31
37.42	2.404	27
39.31	2.292	26
35.47	2.531	25
28.16	3.169	24
41.94	2.154	23

Entry 6:
Theoretical powder X-ray diffraction pattern
Compound: BaCdAgP2
Radiation: Cu Kα (weighted mean of Kα1 and Kα2)
Structure: a cell relaxed with GGA-PBE

Cell and atoms:
```
data_BaCdAgP2
_chemical_formula_sum 'Ba4 Cd4 Ag4 P8'
_cell_length_a 4.251
_cell_length_b 18.398
_cell_length_c 6.417
_cell_angle_alpha 90.00
_cell_angle_beta 90.00
_cell_angle_gamma 90.00
_symmetry_space_group_name_H-M 'C m c 21'
_symmetry_Int_Tables_number 36
_symmetry_space_group_name_Hall 'C 2c -2'
loop_
_atom_site_label
_atom_site_type_symbol
_atom_site_fract_x
_atom_site_fract_y
_atom_site_fract_z
Ba1 Ba 0.000 0.181 0.000
Cd1 Cd 0.000 0.386 0.999
Ag1 Ag 0.000 0.003 0.278
P1 P 0.000 0.191 0.499
P2 P 0.000 0.472 0.528
```

Main lines, by intensity (10 to 90 degrees two-theta):
Position (°2θ)	d_spacing	intensity
32.17	2.782	100
25.60	3.480	82
38.08	2.363	57
35.39	2.537	36
42.53	2.125	36
34.07	2.632	35
29.12	3.067	34
29.48	3.030	34
57.70	1.598	32
35.16	2.553	28

Entry 7:
Theoretical powder X-ray diffraction pattern
Compound: BaCd2AgPd
Radiation: Cu Kα (weighted mean of Kα1 and Kα2)
Structure: a cell relaxed with GGA-PBE

Cell and atoms:
```
data_BaCd2AgPd
_chemical_formula_sum 'Ba2 Cd4 Ag2 Pd2'
_cell_length_a 4.592
_cell_length_b 4.592
_cell_length_c 12.317
_cell_angle_alpha 90.00
_cell_angle_beta 90.00
_cell_angle_gamma 90.00
_symmetry_space_group_name_H-M 'I 4 m m'
_symmetry_Int_Tables_number 107
_symmetry_space_group_name_Hall 'I 4 -2'
loop_
_atom_site_label
_atom_site_type_symbol
_atom_site_fract_x
_atom_site_fract_y
_atom_site_fract_z
Ba1 Ba 0.000 0.000 0.000
Cd1 Cd 0.000 0.500 0.259
Ag1 Ag 0.000 0.000 0.614
Pd1 Pd 0.000 0.000 0.391
```

Main lines, by intensity (10 to 90 degrees two-theta):
Position (°2θ)	d_spacing	intensity
31.14	2.872	100
39.24	2.296	56
29.18	3.061	44
41.60	2.171	32
40.37	2.234	29
58.52	1.577	23
66.11	1.413	22
49.64	1.837	20
56.70	1.623	19
74.15	1.279	13

Entry 8:
Theoretical powder X-ray diffraction pattern
Compound: BaCdAg2Sn
Radiation: Cu Kα (weighted mean of Kα1 and Kα2)
Structure: a cell relaxed with GGA-PBE

Cell and atoms:
```
data_BaCdAg2Sn
_chemical_formula_sum 'Ba2 Cd2 Ag4 Sn2'
_cell_length_a 5.001
_cell_length_b 5.001
_cell_length_c 11.023
_cell_angle_alpha 90.00
_cell_angle_beta 90.00
_cell_angle_gamma 90.00
_symmetry_space_group_name_H-M 'I 4 m m'
_symmetry_Int_Tables_number 107
_symmetry_space_group_name_Hall 'I 4 -2'
loop_
_atom_site_label
_atom_site_type_symbol
_atom_site_fract_x
_atom_site_fract_y
_atom_site_fract_z
Ba1 Ba 0.000 0.000 0.000
Cd1 Cd 0.000 0.000 0.633
Ag1 Ag 0.000 0.500 0.258
Sn1 Sn 0.000 0.000 0.371
```

Main lines, by intensity (10 to 90 degrees two-theta):
Position (°2θ)	d_spacing	intensity
30.02	2.976	100
35.91	2.501	95
30.18	2.961	86
47.60	1.910	49
41.54	2.174	38
60.98	1.519	37
51.70	1.768	33
56.44	1.630	24
44.93	2.017	20
58.81	1.570	18

Entry 9:
Theoretical powder X-ray diffraction pattern
Compound: BaCoAgGe2
Radiation: Cu Kα (weighted mean of Kα1 and Kα2)
Structure: a cell relaxed with GGA-PBE

Cell and atoms:
```
data_BaCoAgGe2
_chemical_formula_sum 'Ba2 Co2 Ag2 Ge4'
_cell_length_a 4.404
_cell_length_b 4.404
_cell_length_c 11.348
_cell_angle_alpha 90.00
_cell_angle_beta 90.00
_cell_angle_gamma 90.00
_symmetry_space_group_name_H-M 'I -4 m 2'
_symmetry_Int_Tables_number 119
_symmetry_space_group_name_Hall 'I -4 -2'
loop_
_atom_site_label
_atom_site_type_symbol
_atom_site_fract_x
_atom_site_fract_y
_atom_site_fract_z
Ba1 Ba 0.000 0.000 0.000
Co1 Co 0.000 0.500 0.250
Ag1 Ag 0.000 0.500 0.750
Ge1 Ge 0.000 0.000 0.362
```

Main lines, by intensity (10 to 90 degrees two-theta):
Position (°2θ)	d_spacing	intensity
31.17	2.870	100
32.81	2.730	99
40.99	2.202	70
52.37	1.747	45
56.97	1.617	35
59.35	1.557	23
69.50	1.353	21
86.85	1.121	21
43.13	2.097	20
44.93	2.017	19

Entry 10:
Theoretical powder X-ray diffraction pattern
Compound: Ba2CuAg
Radiation: Cu Kα (weighted mean of Kα1 and Kα2)
Structure: a cell relaxed with GGA-PBE

Cell and atoms:
```
data_Ba2CuAg
_chemical_formula_sum 'Ba4 Cu2 Ag2'
_cell_length_a 4.820
_cell_length_b 6.639
_cell_length_c 8.663
_cell_angle_alpha 90.00
_cell_angle_beta 90.00
_cell_angle_gamma 90.00
_symmetry_space_group_name_H-M 'P m c 21'
_symmetry_Int_Tables_number 26
_symmetry_space_group_name_Hall 'P 2c -2'
loop_
_atom_site_label
_atom_site_type_symbol
_atom_site_fract_x
_atom_site_fract_y
_atom_site_fract_z
Ba1 Ba 0.000 0.114 0.000
Ba2 Ba 0.500 0.381 0.363
Cu1 Cu 0.500 0.147 0.713
Ag1 Ag 0.000 0.356 0.653
```

Main lines, by intensity (10 to 90 degrees two-theta):
Position (°2θ)	d_spacing	intensity
34.40	2.607	100
30.85	2.898	90
27.69	3.222	81
28.80	3.100	75
33.85	2.648	55
25.04	3.557	54
37.31	2.410	50
47.81	1.903	36
51.26	1.782	33
50.00	1.824	27

Entry 11:
Theoretical powder X-ray diffraction pattern
Compound: Ba2CuAgS2F2
Radiation: Cu Kα (weighted mean of Kα1 and Kα2)
Structure: a cell relaxed with GGA-PBE

Cell and atoms:
```
data_Ba2CuAgS2F2
_chemical_formula_sum 'Ba2 Cu1 Ag1 S2 F2'
_cell_length_a 4.174
_cell_length_b 4.174
_cell_length_c 9.110
_cell_angle_alpha 90.00
_cell_angle_beta 90.00
_cell_angle_gamma 90.00
_symmetry_space_group_name_H-M 'P -4 m 2'
_symmetry_Int_Tables_number 115
_symmetry_space_group_name_Hall 'P -4 -2'
loop_
_atom_site_label
_atom_site_type_symbol
_atom_site_fract_x
_atom_site_fract_y
_atom_site_fract_z
Ba1 Ba 0.000 0.500 0.175
Cu1 Cu 0.000 0.000 0.500
Ag1 Ag 0.500 0.500 0.500
S1 S 0.000 0.500 0.663
F1 F 0.000 0.000 0.000
F2 F 0.500 0.500 0.000
```

Main lines, by intensity (10 to 90 degrees two-theta):
Position (°2θ)	d_spacing	intensity
36.27	2.477	100
29.01	3.078	85
23.44	3.795	61
43.35	2.087	54
31.87	2.808	45
29.41	3.037	30
53.01	1.727	30
45.36	1.999	30
50.62	1.803	26
53.26	1.720	23

Entry 12:
Theoretical powder X-ray diffraction pattern
Compound: BaCu2AgSb2
Radiation: Cu Kα (weighted mean of Kα1 and Kα2)
Structure: a cell relaxed with GGA-PBE

Cell and atoms:
```
data_BaCu2AgSb2
_chemical_formula_sum 'Ba1 Cu2 Ag1 Sb2'
_cell_length_a 4.4888
_cell_length_b 4.4888
_cell_length_c 8.1480
_cell_angle_alpha 90.00
_cell_angle_beta 90.00
_cell_angle_gamma 120.00
_symmetry_space_group_name_H-M 'P -3 m 1'
_symmetry_Int_Tables_number 164
_symmetry_space_group_name_Hall '-P 3 2"'
loop_
_atom_site_label
_atom_site_type_symbol
_atom_site_fract_x
_atom_site_fract_y
_atom_site_fract_z
Ba1 Ba 0.0000 0.0000 0.0000
Cu1 Cu 0.3333 0.6667 0.3672
Ag1 Ag 0.0000 0.0000 0.5000
Sb1 Sb 0.3333 0.6667 0.7170
```

Main lines, by intensity (10 to 90 degrees two-theta):
Position (°2θ)	d_spacing	intensity
31.82	2.812	100
40.18	2.244	77
25.39	3.509	29
40.52	2.226	27
10.86	8.148	24
52.14	1.754	24
67.80	1.382	21
50.59	1.804	14
52.92	1.730	13
73.02	1.296	13